Record 1
Structure and calculated powder X-ray diffraction pattern of La3NdHo4 (a DFT-relaxed cell (PBE, Alexandria); copper Kα).
No peak broadening, texture or thermal motion is included.

Structural model:
Cell: 11.6640 7.3366 6.3545 Å, 90.00 90.00 90.00°
Element x y z (fractional)
La  0.0000  0.1281  0.0000
La  0.2497  0.1261  0.3310
La  0.2503  0.8739  0.8310
La  0.5000  0.8719  0.5000
La  0.7503  0.1261  0.3310
La  0.7497  0.8739  0.8310
Nd  0.0000  0.8690  0.4996
Nd  0.5000  0.1310  0.9996
Ho  0.0000  0.3799  0.5001
Ho  0.0000  0.6206  0.0013
Ho  0.2494  0.6196  0.3315
Ho  0.2506  0.3804  0.8315
Ho  0.5000  0.3794  0.5013
Ho  0.5000  0.6201  0.0001
Ho  0.7494  0.3804  0.8315
Ho  0.7506  0.6196  0.3315

The 10 most intense peaks (2θ = 10–90°), low angle first:
2θ = 28.1°, I = 24; 2θ = 30.7°, I = 25; 2θ = 32.1°, I = 100; 2θ = 42.1°, I = 16; 2θ = 49.7°, I = 20; 2θ = 55.4°, I = 21; 2θ = 59.5°, I = 23; 2θ = 60.4°, I = 16; 2θ = 81.9°, I = 14; 2θ = 85.0°, I = 8


Record 2
Structure and calculated powder X-ray diffraction pattern of K7RhO6 (a DFT-relaxed cell (PBE, Alexandria); copper Kα).
No peak broadening, texture or thermal motion is included.

Structural model:
Cell: 9.8457 9.8457 9.8457 Å, 138.35 99.29 95.24°
Element x y z (fractional)
K  0.0390  0.2264  0.2653
K  0.1012  0.5108  0.8631
K  0.1478  0.0108  0.4096
K  0.2500  0.2500  0.0000
K  0.3522  0.7619  0.8631
K  0.3988  0.2619  0.4096
K  0.4610  0.7264  0.1874
K  0.5390  0.2736  0.8126
K  0.6012  0.7381  0.5904
K  0.6478  0.2381  0.1369
K  0.7500  0.7500  0.0000
K  0.8522  0.9892  0.5904
K  0.8988  0.4892  0.1369
K  0.9610  0.7736  0.7346
Rh  0.2500  0.7500  0.5000
Rh  0.7500  0.2500  0.5000
O  0.0988  0.8784  0.5725
O  0.1556  0.9084  0.0641
O  0.1941  0.6216  0.2204
O  0.3059  0.5263  0.4275
O  0.3444  0.4084  0.7528
O  0.4012  0.9737  0.7796
O  0.5988  0.0263  0.2204
O  0.6556  0.5916  0.2472
O  0.6941  0.4737  0.5725
O  0.8059  0.3784  0.7796
O  0.8444  0.0916  0.9359
O  0.9012  0.1216  0.4275

The 10 most intense peaks (2θ = 10–90°), low angle first:
2θ = 13.3°, I = 20; 2θ = 14.4°, I = 26; 2θ = 19.3°, I = 24; 2θ = 19.7°, I = 56; 2θ = 28.0°, I = 29; 2θ = 28.8°, I = 26; 2θ = 30.4°, I = 100; 2θ = 31.6°, I = 25; 2θ = 32.1°, I = 56; 2θ = 40.6°, I = 33


Record 3
Structure and calculated powder X-ray diffraction pattern of LiTlRh (a DFT-relaxed cell (PBE, Alexandria); copper Kα).
No peak broadening, texture or thermal motion is included.

Structural model:
Cell: 3.1464 3.7128 8.6186 Å, 90.00 90.00 90.00°
Element x y z (fractional)
Li  0.0000  0.0000  0.0000
Li  0.5000  0.5000  0.5000
Tl  0.0000  0.0000  0.3196
Tl  0.5000  0.5000  0.8196
Rh  0.0000  0.0000  0.6491
Rh  0.5000  0.5000  0.1491

The 10 most intense peaks (2θ = 10–90°), low angle first:
2θ = 20.6°, I = 61; 2θ = 26.1°, I = 77; 2θ = 30.2°, I = 53; 2θ = 37.5°, I = 100; 2θ = 39.7°, I = 85; 2θ = 42.6°, I = 70; 2θ = 43.1°, I = 37; 2θ = 58.7°, I = 31; 2θ = 67.0°, I = 37; 2θ = 73.2°, I = 28


Record 4
Structure and calculated powder X-ray diffraction pattern of Tb4Pr7Mg (a DFT-relaxed cell (PBE, Alexandria); copper Kα).
No peak broadening, texture or thermal motion is included.

Structural model:
Cell: 6.3403 6.3403 13.3242 Å, 103.83 103.83 53.01°
Element x y z (fractional)
Tb  0.0441  0.0441  0.2773
Tb  0.4098  0.4098  0.8719
Tb  0.5902  0.5902  0.1281
Tb  0.9559  0.9559  0.7227
Pr  0.0000  0.0000  0.5000
Pr  0.1391  0.1391  0.9703
Pr  0.2751  0.2751  0.6033
Pr  0.3401  0.3401  0.2461
Pr  0.6599  0.6599  0.7539
Pr  0.7249  0.7249  0.3967
Pr  0.8609  0.8609  0.0297
Mg  0.5000  0.5000  0.5000

The 10 most intense peaks (2θ = 10–90°), low angle first:
2θ = 29.0°, I = 93; 2θ = 29.3°, I = 100; 2θ = 31.2°, I = 25; 2θ = 31.5°, I = 22; 2θ = 31.6°, I = 72; 2θ = 34.4°, I = 40; 2θ = 35.3°, I = 37; 2θ = 47.4°, I = 32; 2θ = 48.1°, I = 32; 2θ = 54.7°, I = 19


Record 5
Structure and calculated powder X-ray diffraction pattern of NpTlPdSe2 (a DFT-relaxed cell (PBE, Alexandria); copper Kα).
No peak broadening, texture or thermal motion is included.

Structural model:
Cell: 8.5239 5.4232 6.2286 Å, 90.00 110.81 90.00°
Element x y z (fractional)
Np  0.0000  0.0020  0.2500
Np  0.0000  0.9980  0.7500
Tl  0.5000  0.2691  0.7500
Tl  0.5000  0.7309  0.2500
Pd  0.0000  0.5000  0.0000
Pd  0.0000  0.5000  0.5000
Se  0.2558  0.2361  0.1229
Se  0.2558  0.7639  0.6229
Se  0.7442  0.2361  0.3771
Se  0.7442  0.7639  0.8771

The 10 most intense peaks (2θ = 10–90°), low angle first:
2θ = 11.1°, I = 35; 2θ = 22.3°, I = 62; 2θ = 27.4°, I = 47; 2θ = 27.6°, I = 42; 2θ = 33.2°, I = 36; 2θ = 35.0°, I = 100; 2θ = 35.8°, I = 25; 2θ = 44.3°, I = 30; 2θ = 45.5°, I = 31; 2θ = 47.9°, I = 28


Record 6
Structure and calculated powder X-ray diffraction pattern of SrHfS3 (a DFT-relaxed cell (PBE, Alexandria); copper Kα).
No peak broadening, texture or thermal motion is included.

Structural model:
Cell: 8.9103 8.9103 6.2426 Å, 92.41 92.41 94.84°
Element x y z (fractional)
Sr  0.0765  0.2614  0.1066
Sr  0.2614  0.0765  0.6066
Sr  0.7386  0.9235  0.3934
Sr  0.9235  0.7386  0.8934
Hf  0.2662  0.7338  0.2500
Hf  0.4267  0.5733  0.7500
Hf  0.5733  0.4267  0.2500
Hf  0.7338  0.2662  0.7500
S  0.0298  0.7716  0.4302
S  0.1800  0.5650  0.9232
S  0.2284  0.9702  0.0698
S  0.3076  0.4546  0.4039
S  0.4350  0.8200  0.5768
S  0.4546  0.3076  0.9039
S  0.5454  0.6924  0.0961
S  0.5650  0.1800  0.4232
S  0.6924  0.5454  0.5961
S  0.7716  0.0298  0.9302
S  0.8200  0.4350  0.0768
S  0.9702  0.2284  0.5698

The 10 most intense peaks (2θ = 10–90°), low angle first:
2θ = 14.7°, I = 100; 2θ = 23.2°, I = 69; 2θ = 24.1°, I = 38; 2θ = 25.7°, I = 62; 2θ = 26.2°, I = 91; 2θ = 30.0°, I = 37; 2θ = 32.9°, I = 51; 2θ = 33.2°, I = 79; 2θ = 33.9°, I = 77; 2θ = 44.6°, I = 42


Record 7
Structure and calculated powder X-ray diffraction pattern of Pr3Zn4Ag (a DFT-relaxed cell (PBE, Alexandria); copper Kα).
No peak broadening, texture or thermal motion is included.

Structural model:
Cell: 4.0684 7.0304 14.4554 Å, 90.00 90.00 90.00°
Element x y z (fractional)
Pr  0.0000  0.0000  0.0000
Pr  0.0000  0.5000  0.1929
Pr  0.0000  0.5000  0.8071
Pr  0.5000  0.0000  0.3071
Pr  0.5000  0.0000  0.6929
Pr  0.5000  0.5000  0.5000
Zn  0.0000  0.2990  0.3774
Zn  0.0000  0.2990  0.6226
Zn  0.0000  0.7010  0.3774
Zn  0.0000  0.7010  0.6226
Zn  0.5000  0.2010  0.1226
Zn  0.5000  0.2010  0.8774
Zn  0.5000  0.7990  0.1226
Zn  0.5000  0.7990  0.8774
Ag  0.0000  0.0000  0.5000
Ag  0.5000  0.5000  0.0000

The 10 most intense peaks (2θ = 10–90°), low angle first:
2θ = 22.4°, I = 20; 2θ = 25.3°, I = 18; 2θ = 28.2°, I = 100; 2θ = 34.3°, I = 24; 2θ = 35.6°, I = 57; 2θ = 38.2°, I = 28; 2θ = 38.7°, I = 28; 2θ = 44.5°, I = 25; 2θ = 46.4°, I = 28; 2θ = 69.7°, I = 20


- Which formula does entry 3 have?
  LiTlRh